Record 1
# Li5NiO3F
Calculated powder XRD pattern, a wavelength of 1.5418 Å. Input: a cell relaxed with GGA+U.

Peak list (10 most intense, 10° ≤ 2θ ≤ 80°, by angle)
| Position (°2θ) | d/Å | I/Imax | index |
| --- | --- | --- | --- |
| 13.73 | 6.449 | 63.3 | 1 1 0 |
| 19.32 | 4.594 | 22.9 | 0 0 1 |
| 24.09 | 3.694 | 11.1 | 2 0 -1 |
| 25.67 | 3.470 | 100.0 | 1 1 1 |
| 27.45 | 3.249 | 12.9 | 0 2 1 |
| 43.32 | 2.088 | 41.1 | 3 3 -1 |
| 44.65 | 2.029 | 11.2 | 4 2 0 |
| 48.60 | 1.874 | 18.1 | 2 0 2 |
| 56.88 | 1.619 | 15.9 | 2 4 -2 |
| 57.13 | 1.612 | 14.1 | 4 4 0 |

Structural model:
Cell: 9.3142 9.1982 4.7282 Å, 90.00 103.85 90.00°
Space group C2/m (No. 12)
Inequivalent atoms, fractional coordinates:
Li 0.1284 0.2123 0.3843 (multiplicity 8)
Li 0.1300 0.3004 0.8728 (multiplicity 8)
Li 0.1393 0.0000 0.8797 (multiplicity 4)
Ni 0.1273 0.5000 0.3742 (multiplicity 4)
O 0.0000 0.3601 0.5000 (multiplicity 4)
O 0.2464 0.3543 0.2527 (multiplicity 8)
F 0.0000 0.1466 0.0000 (multiplicity 4)

---

Record 2
# Li8NiO4F2
Calculated powder XRD pattern, a wavelength of 1.5418 Å. Input: a cell relaxed with GGA+U.

Peak list (10 most intense, 10° ≤ 2θ ≤ 80°, by angle)
| Position (°2θ) | d/Å | I/Imax | index |
| --- | --- | --- | --- |
| 17.29 | 5.127 | 41.4 | 0 0 1 |
| 18.00 | 4.927 | 49.0 | 0 1 0 |
| 19.57 | 4.536 | 39.6 | 1 0 -1 |
| 19.90 | 4.461 | 40.9 | 1 0 0 |
| 21.25 | 4.180 | 37.3 | 1 -1 0 |
| 22.56 | 3.942 | 32.9 | 0 1 -1 |
| 31.72 | 2.821 | 100.0 | 1 1 0 |
| 39.76 | 2.267 | 39.3 | 1 -2 1 |
| 40.01 | 2.254 | 31.7 | -2 1 2 |
| 51.59 | 1.772 | 26.4 | 1 -2 2 |

Structural model:
Cell: 5.3080 5.3187 5.7556 Å, 91.18 114.91 109.41°
Space group P-1 (No. 2)
Inequivalent atoms, fractional coordinates:
Li 0.0761 0.1101 0.3541 (multiplicity 2)
Li 0.1668 0.3073 0.0006 (multiplicity 2)
Li 0.2826 0.5473 0.6767 (multiplicity 2)
Li 0.4233 0.7996 0.3681 (multiplicity 2)
Ni 0.5000 0.0000 0.0000 (multiplicity 1)
O 0.2962 0.2033 0.7529 (multiplicity 2)
O 0.3753 0.1161 0.2441 (multiplicity 2)
F 0.0730 0.4767 0.2776 (multiplicity 2)

---

Record 3
# Li3Ni3OF7
Calculated powder XRD pattern, a wavelength of 1.5418 Å. Input: a cell relaxed with GGA+U.

Peak list (10 most intense, 10° ≤ 2θ ≤ 80°, by angle)
| Position (°2θ) | d/Å | I/Imax | index |
| --- | --- | --- | --- |
| 18.07 | 4.909 | 46.2 | 0 0 1 |
| 18.23 | 4.866 | 100.0 | 2 0 -1 |
| 20.94 | 4.242 | 19.2 | 2 0 0 |
| 29.89 | 2.990 | 13.2 | 3 1 -1 |
| 34.98 | 2.565 | 61.0 | 0 2 1 |
| 42.63 | 2.121 | 95.3 | 4 0 0 |
| 46.72 | 1.944 | 17.5 | 2 0 -3 |
| 56.52 | 1.628 | 17.1 | 6 0 -1 |
| 61.65 | 1.505 | 29.7 | 2 2 2 |
| 62.09 | 1.495 | 28.6 | 6 2 -2 |

Structural model:
Cell: 10.3376 6.0150 5.9784 Å, 90.00 124.79 90.00°
Space group Cm (No. 8)
Inequivalent atoms, fractional coordinates:
Li 0.0000 0.0000 0.0000 (multiplicity 2)
Li 0.1234 0.5000 0.3764 (multiplicity 2)
Li 0.3668 0.0000 0.6331 (multiplicity 2)
Ni 0.0091 0.0000 0.5095 (multiplicity 2)
Ni 0.2497 0.2405 0.9907 (multiplicity 4)
O 0.2373 0.0000 0.7617 (multiplicity 2)
F 0.0053 0.2364 0.7592 (multiplicity 4)
F 0.2418 0.0000 0.2314 (multiplicity 2)
F 0.2558 0.5000 0.7728 (multiplicity 2)
F 0.2606 0.5000 0.2406 (multiplicity 2)
F 0.4913 0.2645 0.2430 (multiplicity 4)

---

Record 4
# Li6NiOF6
Calculated powder XRD pattern, a wavelength of 1.5418 Å. Input: a cell relaxed with GGA+U.

Peak list (10 most intense, 10° ≤ 2θ ≤ 80°, by angle)
| Position (°2θ) | d/Å | I/Imax | index |
| --- | --- | --- | --- |
| 12.25 | 7.225 | 73.5 | 0 0 4 |
| 18.42 | 4.817 | 31.5 | 0 0 6 |
| 30.95 | 2.889 | 54.1 | 0 0 10 |
| 32.20 | 2.780 | 36.9 | 1 0 3 |
| 34.57 | 2.594 | 28.0 | 1 0 5 |
| 41.95 | 2.154 | 23.5 | 1 0 9 |
| 43.86 | 2.064 | 49.9 | 0 0 14 |
| 44.11 | 2.053 | 100.0 | 1 1 0 |
| 63.95 | 1.456 | 52.7 | 1 1 14 |
| 64.15 | 1.452 | 26.6 | 2 0 0 |

Structural model:
Cell: 2.9034 2.9034 28.9018 Å, 90.00 90.00 90.00°
Space group I4/mmm (No. 139)
Inequivalent atoms, fractional coordinates:
Li 0.0000 0.0000 0.0727 (multiplicity 4)
Li 0.0000 0.0000 0.2146 (multiplicity 4)
Li 0.0000 0.0000 0.3552 (multiplicity 4)
Ni 0.0000 0.0000 0.5000 (multiplicity 2)
O 0.0000 0.0000 0.0000 (multiplicity 2)
F 0.0000 0.0000 0.1444 (multiplicity 4)
F 0.0000 0.0000 0.2852 (multiplicity 4)
F 0.0000 0.0000 0.4251 (multiplicity 4)

---

Record 5
# Li2Ni4OF8
Calculated powder XRD pattern, a wavelength of 1.5418 Å. Input: a cell relaxed with GGA+U.

Peak list (10 most intense, 10° ≤ 2θ ≤ 80°, by angle)
| Position (°2θ) | d/Å | I/Imax | index |
| --- | --- | --- | --- |
| 19.83 | 4.478 | 56.5 | 2 0 0 |
| 19.99 | 4.442 | 100.0 | 1 1 0 |
| 23.72 | 3.751 | 61.1 | 1 1 2 |
| 32.42 | 2.762 | 83.4 | 1 1 -4 |
| 32.53 | 2.752 | 64.1 | 2 0 4 |
| 34.80 | 2.578 | 61.4 | 3 1 0 |
| 48.58 | 1.874 | 36.0 | 2 2 4 |
| 52.59 | 1.740 | 43.1 | 3 1 -6 |
| 53.00 | 1.728 | 83.0 | 0 2 6 |
| 62.75 | 1.481 | 44.3 | 3 3 0 |

Structural model:
Cell: 8.9558 5.1159 14.0572 Å, 90.00 90.48 90.00°
Space group Cc (No. 9)
Inequivalent atoms, fractional coordinates:
Li 0.0000 0.0041 0.0000 (multiplicity 4)
Li 0.4915 0.4883 0.7987 (multiplicity 4)
Ni 0.1687 0.4967 0.4722 (multiplicity 4)
Ni 0.1778 0.4818 0.6779 (multiplicity 4)
Ni 0.3309 0.0169 0.8341 (multiplicity 4)
Ni 0.3393 0.0073 0.6412 (multiplicity 4)
O 0.3371 0.2879 0.7354 (multiplicity 4)
F 0.0027 0.3099 0.4063 (multiplicity 4)
F 0.0220 0.3517 0.0711 (multiplicity 4)
F 0.1534 0.1611 0.9057 (multiplicity 4)
F 0.1664 0.1886 0.5682 (multiplicity 4)
F 0.1794 0.1629 0.2386 (multiplicity 4)
F 0.3230 0.3448 0.0692 (multiplicity 4)
F 0.3427 0.3345 0.4062 (multiplicity 4)
F 0.4887 0.1645 0.2367 (multiplicity 4)

---

Record 6
# Li2NiOF2
Calculated powder XRD pattern, a wavelength of 1.5418 Å. Input: a cell relaxed with GGA+U.

Peak list (10 most intense, 10° ≤ 2θ ≤ 80°, by angle)
| Position (°2θ) | d/Å | I/Imax | index |
| --- | --- | --- | --- |
| 14.22 | 6.228 | 29.5 | 0 0 2 |
| 31.35 | 2.853 | 20.4 | 1 0 1 |
| 33.80 | 2.652 | 46.3 | 1 0 2 |
| 36.05 | 2.491 | 11.3 | 0 0 5 |
| 42.35 | 2.134 | 31.4 | 1 0 4 |
| 43.65 | 2.074 | 100.0 | 1 1 0 |
| 44.31 | 2.044 | 17.6 | 1 1 1 |
| 57.88 | 1.593 | 10.1 | 1 1 5 |
| 63.44 | 1.466 | 54.7 | 2 0 0 |
| 73.89 | 1.283 | 8.3 | 2 1 2 |

Structural model:
Cell: 2.9310 2.9310 12.4561 Å, 90.00 90.00 90.00°
Space group P4/nmm (No. 129, origin choice 2)
Inequivalent atoms, fractional coordinates:
Li 0.2500 0.2500 0.0800 (multiplicity 2)
Li 0.2500 0.2500 0.7540 (multiplicity 2)
Ni 0.2500 0.2500 0.4170 (multiplicity 2)
O 0.2500 0.2500 0.5863 (multiplicity 2)
F 0.2500 0.2500 0.2415 (multiplicity 2)
F 0.2500 0.2500 0.9190 (multiplicity 2)

---

Record 7
# Li8NiO4F2
Calculated powder XRD pattern, a wavelength of 1.5418 Å. Input: a cell relaxed with GGA+U.

Peak list (10 most intense, 10° ≤ 2θ ≤ 80°, by angle)
| Position (°2θ) | d/Å | I/Imax | index |
| --- | --- | --- | --- |
| 17.20 | 5.155 | 34.2 | 0 0 2 |
| 19.48 | 4.558 | 100.0 | 0 1 1 |
| 21.76 | 4.085 | 24.4 | 0 1 -1 |
| 21.96 | 4.047 | 55.0 | 1 0 -1 |
| 29.70 | 3.008 | 20.2 | 1 0 3 |
| 36.81 | 2.441 | 37.9 | 1 -1 2 |
| 37.08 | 2.425 | 38.8 | 2 1 -1 |
| 37.15 | 2.420 | 34.5 | 1 2 3 |
| 48.12 | 1.891 | 29.1 | 1 -1 4 |
| 48.39 | 1.881 | 18.4 | 2 1 -3 |

Structural model:
Cell: 5.4913 5.5080 10.7691 Å, 75.73 75.33 60.28°
Space group P-1 (No. 2)
Inequivalent atoms, fractional coordinates:
Li 0.0672 0.4115 0.3173 (multiplicity 2)
Li 0.1129 0.7794 0.1750 (multiplicity 2)
Li 0.1823 0.2329 0.9887 (multiplicity 2)
Li 0.2035 0.5744 0.8158 (multiplicity 2)
Li 0.2799 0.9478 0.6650 (multiplicity 2)
Li 0.2826 0.4161 0.5051 (multiplicity 2)
Li 0.4095 0.6928 0.3188 (multiplicity 2)
Li 0.4318 0.0915 0.1662 (multiplicity 2)
Ni 0.0000 0.0000 0.5000 (multiplicity 1)
Ni 0.5000 0.5000 0.0000 (multiplicity 1)
O 0.0370 0.7203 0.3827 (multiplicity 2)
O 0.1404 0.4625 0.1183 (multiplicity 2)
O 0.2697 0.6472 0.6206 (multiplicity 2)
O 0.4732 0.7623 0.1207 (multiplicity 2)
F 0.2199 0.8807 0.8649 (multiplicity 2)
F 0.3764 0.0370 0.3607 (multiplicity 2)

---

Record 8
# Li5Ni3O5F3
Calculated powder XRD pattern, a wavelength of 1.5418 Å. Input: a cell relaxed with GGA+U.

Peak list (10 most intense, 10° ≤ 2θ ≤ 80°, by angle)
| Position (°2θ) | d/Å | I/Imax | index |
| --- | --- | --- | --- |
| 18.36 | 4.833 | 100.0 | 0 1 0 |
| 18.65 | 4.757 | 11.0 | 1 0 0 |
| 33.92 | 2.643 | 30.1 | 0 1 -2 |
| 36.95 | 2.433 | 11.9 | 2 -1 0 |
| 37.24 | 2.415 | 15.2 | 2 1 -2 |
| 40.45 | 2.230 | 37.8 | 0 0 2 |
| 45.03 | 2.013 | 29.6 | 2 -2 0 |
| 45.33 | 2.001 | 28.8 | 2 2 -2 |
| 61.90 | 1.499 | 9.2 | 2 -2 2 |
| 62.29 | 1.491 | 16.2 | 2 2 0 |

Structural model:
Cell: 5.5994 5.7562 5.9831 Å, 118.67 117.37 90.36°
Space group P1 (No. 1)
Inequivalent atoms, fractional coordinates:
Li 0.0000 0.0000 0.0000 (multiplicity 1)
Li 0.0012 0.4890 0.0091 (multiplicity 1)
Li 0.5045 0.4930 0.4985 (multiplicity 1)
Li 0.5121 0.4874 0.0009 (multiplicity 1)
Li 0.9938 0.4811 0.4767 (multiplicity 1)
Ni 0.0036 0.9910 0.4959 (multiplicity 1)
Ni 0.5100 0.9981 0.9983 (multiplicity 1)
Ni 0.5226 0.0103 0.5313 (multiplicity 1)
O 0.2465 0.2036 0.4938 (multiplicity 1)
O 0.2654 0.7864 0.5333 (multiplicity 1)
O 0.7383 0.1920 0.4564 (multiplicity 1)
O 0.7514 0.2393 0.9908 (multiplicity 1)
O 0.7621 0.7790 0.4998 (multiplicity 1)
F 0.2354 0.7217 0.9683 (multiplicity 1)
F 0.2820 0.2810 0.0636 (multiplicity 1)
F 0.7263 0.7037 0.9333 (multiplicity 1)

---

Record 9
# Li3Ni5OF11
Calculated powder XRD pattern, a wavelength of 1.5418 Å. Input: a cell relaxed with GGA+U.

Peak list (10 most intense, 10° ≤ 2θ ≤ 80°, by angle)
| Position (°2θ) | d/Å | I/Imax | index |
| --- | --- | --- | --- |
| 18.69 | 4.747 | 100.0 | 0 1 1 |
| 23.60 | 3.770 | 63.7 | 1 0 1 |
| 26.65 | 3.345 | 46.2 | 1 1 2 |
| 31.44 | 2.846 | 27.8 | 1 1 -2 |
| 32.78 | 2.732 | 36.4 | 1 2 1 |
| 33.53 | 2.672 | 32.1 | 1 -1 0 |
| 37.90 | 2.374 | 36.7 | 0 2 2 |
| 39.99 | 2.254 | 25.6 | 2 0 0 |
| 51.39 | 1.778 | 38.8 | 0 1 5 |
| 55.39 | 1.659 | 28.7 | 3 2 1 |

Structural model:
Cell: 5.1035 5.4925 8.9048 Å, 73.73 89.44 63.07°
Space group P1 (No. 1)
Inequivalent atoms, fractional coordinates:
Li 0.0000 0.0000 0.0000 (multiplicity 1)
Li 0.2246 0.2602 0.7331 (multiplicity 1)
Li 0.7578 0.7322 0.2419 (multiplicity 1)
Ni 0.0621 0.2147 0.3514 (multiplicity 1)
Ni 0.3028 0.4814 0.0934 (multiplicity 1)
Ni 0.5405 0.4588 0.5038 (multiplicity 1)
Ni 0.5590 0.7433 0.8528 (multiplicity 1)
Ni 0.8382 0.9774 0.5970 (multiplicity 1)
O 0.9602 0.2227 0.5433 (multiplicity 1)
F 0.0043 0.5618 0.8979 (multiplicity 1)
F 0.0169 0.8664 0.2014 (multiplicity 1)
F 0.0836 0.3093 0.1517 (multiplicity 1)
F 0.0894 0.6149 0.4571 (multiplicity 1)
F 0.1167 0.9592 0.8016 (multiplicity 1)
F 0.4823 0.7087 0.0483 (multiplicity 1)
F 0.5115 0.0562 0.3958 (multiplicity 1)
F 0.5148 0.3837 0.7111 (multiplicity 1)
F 0.5714 0.1248 0.9615 (multiplicity 1)
F 0.5867 0.8171 0.6487 (multiplicity 1)
F 0.6028 0.4709 0.2937 (multiplicity 1)

---

Record 10
# Li8NiO5F
Calculated powder XRD pattern, a wavelength of 1.5418 Å. Input: a cell relaxed with GGA+U.

Peak list (10 most intense, 10° ≤ 2θ ≤ 80°, by angle)
| Position (°2θ) | d/Å | I/Imax | index |
| --- | --- | --- | --- |
| 17.50 | 5.069 | 80.9 | 0 0 1 |
| 18.72 | 4.740 | 70.1 | 0 1 0 |
| 19.67 | 4.513 | 71.9 | 1 0 -1 |
| 20.70 | 4.292 | 65.1 | 1 -1 0 |
| 20.86 | 4.259 | 67.9 | 1 0 0 |
| 22.49 | 3.954 | 55.0 | 0 1 -1 |
| 34.14 | 2.626 | 100.0 | 1 1 0 |
| 38.99 | 2.310 | 52.7 | 1 -2 1 |
| 39.17 | 2.300 | 49.7 | -2 1 2 |
| 56.88 | 1.619 | 50.5 | 0 3 -1 |

Structural model:
Cell: 5.3270 5.3321 5.7980 Å, 90.85 115.95 113.89°
Space group P1 (No. 1)
Inequivalent atoms, fractional coordinates:
Li 0.0000 0.0000 0.0000 (multiplicity 1)
Li 0.0389 0.1552 0.6425 (multiplicity 1)
Li 0.1751 0.4263 0.3499 (multiplicity 1)
Li 0.4083 0.8633 0.6478 (multiplicity 1)
Li 0.5217 0.1012 0.3448 (multiplicity 1)
Li 0.5954 0.3073 0.9617 (multiplicity 1)
Li 0.6908 0.5250 0.6367 (multiplicity 1)
Li 0.8523 0.7250 0.3293 (multiplicity 1)
Ni 0.2280 0.5938 0.9601 (multiplicity 1)
O 0.0954 0.8370 0.7395 (multiplicity 1)
O 0.1464 0.7387 0.2177 (multiplicity 1)
O 0.3901 0.5178 0.7407 (multiplicity 1)
O 0.4393 0.4060 0.2141 (multiplicity 1)
O 0.7764 0.2168 0.7478 (multiplicity 1)
F 0.8174 0.0700 0.2575 (multiplicity 1)

---

Please write out number 3 again, unchanged.
# Li3Ni3OF7
Calculated powder XRD pattern, a wavelength of 1.5418 Å. Input: a cell relaxed with GGA+U.

Peak list (10 most intense, 10° ≤ 2θ ≤ 80°, by angle)
| Position (°2θ) | d/Å | I/Imax | index |
| --- | --- | --- | --- |
| 18.07 | 4.909 | 46.2 | 0 0 1 |
| 18.23 | 4.866 | 100.0 | 2 0 -1 |
| 20.94 | 4.242 | 19.2 | 2 0 0 |
| 29.89 | 2.990 | 13.2 | 3 1 -1 |
| 34.98 | 2.565 | 61.0 | 0 2 1 |
| 42.63 | 2.121 | 95.3 | 4 0 0 |
| 46.72 | 1.944 | 17.5 | 2 0 -3 |
| 56.52 | 1.628 | 17.1 | 6 0 -1 |
| 61.65 | 1.505 | 29.7 | 2 2 2 |
| 62.09 | 1.495 | 28.6 | 6 2 -2 |

Structural model:
Cell: 10.3376 6.0150 5.9784 Å, 90.00 124.79 90.00°
Space group Cm (No. 8)
Inequivalent atoms, fractional coordinates:
Li 0.0000 0.0000 0.0000 (multiplicity 2)
Li 0.1234 0.5000 0.3764 (multiplicity 2)
Li 0.3668 0.0000 0.6331 (multiplicity 2)
Ni 0.0091 0.0000 0.5095 (multiplicity 2)
Ni 0.2497 0.2405 0.9907 (multiplicity 4)
O 0.2373 0.0000 0.7617 (multiplicity 2)
F 0.0053 0.2364 0.7592 (multiplicity 4)
F 0.2418 0.0000 0.2314 (multiplicity 2)
F 0.2558 0.5000 0.7728 (multiplicity 2)
F 0.2606 0.5000 0.2406 (multiplicity 2)
F 0.4913 0.2645 0.2430 (multiplicity 4)

---

Copy entry 4 word for word.
# Li6NiOF6
Calculated powder XRD pattern, a wavelength of 1.5418 Å. Input: a cell relaxed with GGA+U.

Peak list (10 most intense, 10° ≤ 2θ ≤ 80°, by angle)
| Position (°2θ) | d/Å | I/Imax | index |
| --- | --- | --- | --- |
| 12.25 | 7.225 | 73.5 | 0 0 4 |
| 18.42 | 4.817 | 31.5 | 0 0 6 |
| 30.95 | 2.889 | 54.1 | 0 0 10 |
| 32.20 | 2.780 | 36.9 | 1 0 3 |
| 34.57 | 2.594 | 28.0 | 1 0 5 |
| 41.95 | 2.154 | 23.5 | 1 0 9 |
| 43.86 | 2.064 | 49.9 | 0 0 14 |
| 44.11 | 2.053 | 100.0 | 1 1 0 |
| 63.95 | 1.456 | 52.7 | 1 1 14 |
| 64.15 | 1.452 | 26.6 | 2 0 0 |

Structural model:
Cell: 2.9034 2.9034 28.9018 Å, 90.00 90.00 90.00°
Space group I4/mmm (No. 139)
Inequivalent atoms, fractional coordinates:
Li 0.0000 0.0000 0.0727 (multiplicity 4)
Li 0.0000 0.0000 0.2146 (multiplicity 4)
Li 0.0000 0.0000 0.3552 (multiplicity 4)
Ni 0.0000 0.0000 0.5000 (multiplicity 2)
O 0.0000 0.0000 0.0000 (multiplicity 2)
F 0.0000 0.0000 0.1444 (multiplicity 4)
F 0.0000 0.0000 0.2852 (multiplicity 4)
F 0.0000 0.0000 0.4251 (multiplicity 4)